# 1
For Mn2V2Cr7, DFT lattice parameters and positions (PBE) gives the simulated powder diffractogram in this record (Cu Kα (weighted mean of Kα1 and Kα2)).
Intensities are scaled so that the largest is 100.

Most intense lines, 2θ = 5–70°, sorted by position:
2θ 12.69, intensity 2.3; 2θ 21.26, intensity 3.3; 2θ 25.99, intensity 2.6; 2θ 33.37, intensity 2.5; 2θ 34.35, intensity 2.2; 2θ 44.88, intensity 25.6; 2θ 45.33, intensity 100.0; 2θ 46.11, intensity 23.9; 2θ 65.79, intensity 7.2; 2θ 66.30, intensity 14.0

Atomic structure:
```
Mn2V2Cr7
1.0
2.466 -3.937 0.000
2.466 3.937 0.000
-0.046 0.000 6.976
Mn V Cr
2 2 7
Cartesian
0.826 0.000 1.169 Mn
4.060 0.000 5.807 Mn
2.466 1.990 0.000 V
2.466 -1.990 0.000 V
-0.023 0.000 3.488 Cr
1.611 1.970 2.367 Cr
1.641 0.000 5.705 Cr
3.275 1.970 4.610 Cr
1.611 -1.970 2.367 Cr
3.245 0.000 1.272 Cr
3.275 -1.970 4.610 Cr
```

***

# 2
For NaLaBr6, DFT lattice parameters and positions (PBE) gives the simulated powder diffractogram in this record (Cu Kα (weighted mean of Kα1 and Kα2)).
Intensities are scaled so that the largest is 100.

Most intense lines, 2θ = 5–70°, sorted by position:
2θ 13.05, intensity 22.1; 2θ 15.08, intensity 100.0; 2θ 26.28, intensity 37.2; 2θ 30.43, intensity 73.3; 2θ 34.13, intensity 53.2; 2θ 43.58, intensity 53.5; 2θ 46.37, intensity 27.7; 2θ 51.61, intensity 16.3; 2θ 54.08, intensity 18.6; 2θ 65.52, intensity 15.4

Atomic structure:
```
NaLaBr6
1.0
0.000 5.874 5.874
5.874 0.000 5.874
5.874 5.874 0.000
Na La Br
1 1 6
Cartesian
0.000 0.000 0.000 Na
5.874 5.874 5.874 La
5.874 5.874 2.948 Br
5.874 2.948 5.874 Br
8.800 5.874 5.874 Br
2.948 5.874 5.874 Br
5.874 8.800 5.874 Br
5.874 5.874 8.800 Br
```

***

# 3
For LaCo2Br, DFT lattice parameters and positions (PBE) gives the simulated powder diffractogram in this record (Cu Kα (weighted mean of Kα1 and Kα2)).
Intensities are scaled so that the largest is 100.

Most intense lines, 2θ = 5–70°, sorted by position:
2θ 12.80, intensity 26.3; 2θ 25.92, intensity 11.6; 2θ 29.01, intensity 100.0; 2θ 36.88, intensity 72.0; 2θ 39.08, intensity 16.2; 2θ 45.72, intensity 46.9; 2θ 47.48, intensity 13.3; 2θ 55.03, intensity 11.5; 2θ 60.13, intensity 9.2; 2θ 61.64, intensity 16.3

Atomic structure:
```
LaCo2Br
1.0
3.433 -1.986 0.000
3.433 1.986 0.000
-0.017 0.000 6.915
La Co Br
1 2 1
Cartesian
0.000 0.000 0.000 La
2.274 0.000 5.184 Co
4.564 0.000 4.724 Co
4.574 0.000 2.167 Br
```

***

# 4
For LiPu3Ge4, DFT lattice parameters and positions (PBE) gives the simulated powder diffractogram in this record (Cu Kα (weighted mean of Kα1 and Kα2)).
Intensities are scaled so that the largest is 100.

Most intense lines, 2θ = 5–70°, sorted by position:
2θ 12.14, intensity 34.1; 2θ 20.36, intensity 31.0; 2θ 22.54, intensity 46.6; 2θ 33.95, intensity 99.6; 2θ 34.96, intensity 100.0; 2θ 37.54, intensity 44.5; 2θ 41.41, intensity 33.0; 2θ 46.04, intensity 74.2; 2θ 52.88, intensity 24.1; 2θ 63.64, intensity 40.0

Atomic structure:
```
LiPu3Ge4
1.0
-1.468 4.361 6.635
1.468 -4.361 6.635
1.468 4.361 -6.635
Li Pu Ge
1 3 4
Cartesian
0.000 0.000 0.000 Li
1.468 0.000 3.079 Pu
0.000 0.000 6.635 Pu
0.000 4.361 3.556 Pu
1.468 -2.227 5.150 Ge
0.000 2.135 1.486 Ge
1.468 2.227 5.150 Ge
0.000 6.588 1.486 Ge
```

***

# 5
For TlRuPb2O8, DFT lattice parameters and positions (PBE) gives the simulated powder diffractogram in this record (Cu Kα (weighted mean of Kα1 and Kα2)).
Intensities are scaled so that the largest is 100.

Most intense lines, 2θ = 5–70°, sorted by position:
2θ 25.51, intensity 51.9; 2θ 25.63, intensity 50.6; 2θ 31.55, intensity 100.0; 2θ 36.48, intensity 28.8; 2θ 48.92, intensity 37.4; 2θ 49.05, intensity 35.9; 2θ 59.41, intensity 9.2; 2θ 59.55, intensity 19.8; 2θ 62.59, intensity 20.4; 2θ 65.87, intensity 11.7

Atomic structure:
```
TlRuPb2O8
1.0
4.922 0.000 0.000
0.000 6.937 0.000
-0.022 0.000 4.930
Tl Ru Pb O
1 1 2 8
Cartesian
0.000 0.000 0.000 Tl
0.000 3.468 0.000 Ru
2.450 1.772 2.465 Pb
2.450 5.165 2.465 Pb
0.893 1.987 4.032 O
0.893 4.949 4.032 O
1.366 3.468 1.388 O
1.512 0.000 1.537 O
3.389 0.000 3.394 O
3.535 3.468 3.543 O
4.007 1.987 0.899 O
4.007 4.949 0.899 O
```

***

# 6
For Tb2Tc3W, DFT lattice parameters and positions (PBE) gives the simulated powder diffractogram in this record (Cu Kα (weighted mean of Kα1 and Kα2)).
Intensities are scaled so that the largest is 100.

Most intense lines, 2θ = 5–70°, sorted by position:
2θ 32.48, intensity 49.2; 2θ 33.26, intensity 16.4; 2θ 38.33, intensity 23.8; 2θ 38.67, intensity 100.0; 2θ 39.34, intensity 48.0; 2θ 40.22, intensity 41.2; 2θ 62.07, intensity 20.9; 2θ 62.52, intensity 16.4; 2θ 68.06, intensity 15.7; 2θ 69.86, intensity 14.5

Atomic structure:
```
Tb2Tc3W
1.0
4.628 -2.759 0.000
4.628 2.759 0.000
-3.001 0.000 4.484
Tb Tc W
2 3 1
Cartesian
0.029 0.000 1.680 Tb
6.226 0.000 2.804 Tb
2.314 1.380 0.000 Tc
2.314 -1.380 0.000 Tc
3.128 0.000 2.242 Tc
4.628 0.000 0.000 W
```

***

# 7
For Pa2B5Ir, DFT lattice parameters and positions (PBE) gives the simulated powder diffractogram in this record (Cu Kα (weighted mean of Kα1 and Kα2)).
Intensities are scaled so that the largest is 100.

Most intense lines, 2θ = 5–70°, sorted by position:
2θ 20.94, intensity 23.3; 2θ 24.78, intensity 16.4; 2θ 34.11, intensity 100.0; 2θ 35.33, intensity 44.0; 2θ 41.43, intensity 10.9; 2θ 42.62, intensity 11.3; 2θ 47.14, intensity 10.8; 2θ 50.83, intensity 17.6; 2θ 60.26, intensity 18.5; 2θ 62.64, intensity 34.2

Atomic structure:
```
Pa2B5Ir
1.0
-2.541 2.541 3.856
2.541 -2.541 3.856
2.541 2.541 -3.856
Pa B Ir
2 5 1
Cartesian
2.541 0.000 0.000 Pa
0.000 2.541 0.000 Pa
1.631 1.631 -1.880 B
0.909 -0.909 1.976 B
0.000 0.000 3.247 B
-0.909 0.909 1.976 B
0.909 0.909 1.976 B
0.000 0.000 5.667 Ir
```

***

# 8
For Ba3Na2, DFT lattice parameters and positions (PBE) gives the simulated powder diffractogram in this record (Cu Kα (weighted mean of Kα1 and Kα2)).
Intensities are scaled so that the largest is 100.

Most intense lines, 2θ = 5–70°, sorted by position:
2θ 18.70, intensity 33.8; 2θ 21.91, intensity 42.2; 2θ 23.71, intensity 41.7; 2θ 24.96, intensity 100.0; 2θ 26.35, intensity 63.6; 2θ 26.56, intensity 58.3; 2θ 28.16, intensity 36.5; 2θ 40.64, intensity 25.5; 2θ 42.46, intensity 16.6; 2θ 46.38, intensity 21.0

Atomic structure:
```
Ba3Na2
1.0
10.612 0.000 0.000
0.000 10.612 0.000
0.000 0.000 9.641
Ba Na
12 8
Cartesian
0.000 5.306 2.410 Ba
0.000 5.306 7.231 Ba
1.588 1.588 0.000 Ba
2.291 2.291 4.821 Ba
3.015 7.597 0.000 Ba
3.718 6.894 4.821 Ba
5.306 0.000 2.410 Ba
5.306 0.000 7.231 Ba
6.894 3.718 4.821 Ba
7.597 3.015 0.000 Ba
8.321 8.321 4.821 Ba
9.024 9.024 0.000 Ba
1.236 9.376 3.010 Na
1.236 9.376 6.631 Na
4.070 4.070 1.810 Na
4.070 4.070 7.831 Na
6.542 6.542 1.810 Na
6.542 6.542 7.831 Na
9.376 1.236 3.010 Na
9.376 1.236 6.631 Na
```